(1)
Diffraction record for Li5Ge3. The X-ray powder pattern is computed, not measured: it uses the PBE geometry in Alexandria and Cu Kα X-rays.

Atomic structure:
```
data_Li5Ge3
_symmetry_space_group_name_H-M 'C m c m'
_symmetry_Int_Tables_number 63
_symmetry_space_group_name_Hall '-C 2c 2'
_cell_length_a 8.857
_cell_length_b 6.308
_cell_length_c 8.820
_cell_angle_alpha 90.00
_cell_angle_beta 90.00
_cell_angle_gamma 90.00
loop_
_atom_site_label
_atom_site_type_symbol
_atom_site_fract_x
_atom_site_fract_y
_atom_site_fract_z
_atom_site_occupancy
Li1 Li 0.000 0.002 0.250 1
Li2 Li 0.000 0.257 0.501 1
Li3 Li 0.249 0.250 0.750 1
Ge1 Ge 0.000 0.499 0.250 1
Ge2 Ge 0.249 0.000 0.000 1
```

Principal peaks in the range 2θ = 10–90°, in order of rising 2θ:
2θ (°), I/Imax, (hkl)
17.26, 34, 1 1 0
26.64, 25, 1 1 2
28.29, 47, 0 2 0
28.56, 91, 2 0 2
40.64, 100, 2 2 2
40.75, 25, 4 0 0
40.93, 25, 0 0 4
50.35, 19, 4 2 0
50.50, 18, 0 2 4
66.82, 23, 6 0 2

=====

(2)
Diffraction record for Cs2InI6O. The X-ray powder pattern is computed, not measured: it uses the PBE geometry in Alexandria and Cu Kα X-rays.

Atomic structure:
```
data_Cs2InI6O
_symmetry_space_group_name_H-M 'I 4/m m m'
_symmetry_Int_Tables_number 139
_symmetry_space_group_name_Hall '-I 4 2'
_cell_length_a 7.767
_cell_length_b 7.767
_cell_length_c 13.686
_cell_angle_alpha 90.00
_cell_angle_beta 90.00
_cell_angle_gamma 90.00
loop_
_atom_site_label
_atom_site_type_symbol
_atom_site_fract_x
_atom_site_fract_y
_atom_site_fract_z
_atom_site_occupancy
Cs1 Cs 0.000 0.500 0.250 1
In1 In 0.000 0.000 0.000 1
I1 I 0.000 0.000 0.221 1
I2 I 0.226 0.226 0.500 1
O1 O 0.000 0.000 0.500 1
```

Principal peaks in the range 2θ = 10–90°, in order of rising 2θ:
2θ (°), I/Imax, (hkl)
26.04, 38, 0 0 4
26.40, 100, 2 0 2
32.61, 44, 2 2 0
35.28, 8, 3 0 1
42.03, 10, 2 1 5
42.20, 38, 2 2 4
46.15, 14, 2 0 6
46.79, 14, 4 0 0
54.33, 16, 4 0 4
54.51, 19, 4 2 2

=====

(3)
Diffraction record for Li12HgRh2. The X-ray powder pattern is computed, not measured: it uses the PBE geometry in Alexandria and Cu Kα X-rays.

Atomic structure:
```
data_Li12HgRh2
_symmetry_space_group_name_H-M 'C m m e'
_symmetry_Int_Tables_number 67
_symmetry_space_group_name_Hall '-C 2a 2'
_cell_length_a 5.160
_cell_length_b 8.884
_cell_length_c 22.570
_cell_angle_alpha 90.00
_cell_angle_beta 90.00
_cell_angle_gamma 90.00
loop_
_atom_site_label
_atom_site_type_symbol
_atom_site_fract_x
_atom_site_fract_y
_atom_site_fract_z
_atom_site_occupancy
Li1 Li 0.000 0.072 0.060 1
Li2 Li 0.000 0.080 0.550 1
Li3 Li 0.238 0.250 0.364 1
Li4 Li 0.242 0.250 0.846 1
Li5 Li 0.250 0.000 0.207 1
Li6 Li 0.250 0.000 0.311 1
Hg1 Hg 0.000 0.250 0.954 1
Rh1 Rh 0.000 0.250 0.259 1
Rh2 Rh 0.000 0.250 0.740 1
```

Principal peaks in the range 2θ = 10–90°, in order of rising 2θ:
2θ (°), I/Imax, (hkl)
11.76, 55, 0 0 3
15.71, 85, 0 0 4
19.99, 100, 0 2 0
20.36, 45, 0 2 1
23.20, 63, 0 2 3
25.49, 91, 0 2 4
28.12, 43, 1 1 5
31.12, 48, 0 2 6
40.42, 49, 2 2 0
40.63, 33, 0 4 0

=====

(4)
Diffraction record for HoGe2Pt5. The X-ray powder pattern is computed, not measured: it uses the PBE geometry in Alexandria and Cu Kα X-rays.

Atomic structure:
```
data_HoGe2Pt5
_symmetry_space_group_name_H-M 'I m m m'
_symmetry_Int_Tables_number 71
_symmetry_space_group_name_Hall '-I 2 2'
_cell_length_a 3.863
_cell_length_b 7.249
_cell_length_c 10.021
_cell_angle_alpha 90.00
_cell_angle_beta 90.00
_cell_angle_gamma 90.00
loop_
_atom_site_label
_atom_site_type_symbol
_atom_site_fract_x
_atom_site_fract_y
_atom_site_fract_z
_atom_site_occupancy
Ho1 Ho 0.000 0.000 0.000 1
Ge1 Ge 0.000 0.500 0.250 1
Pt1 Pt 0.000 0.205 0.360 1
Pt2 Pt 0.000 0.500 0.000 1
```

Principal peaks in the range 2θ = 10–90°, in order of rising 2θ:
2θ (°), I/Imax, (hkl)
15.08, 18, 0 1 1
30.44, 13, 0 2 2
35.11, 100, 1 2 1
35.53, 87, 1 0 3
43.93, 56, 0 2 4
44.21, 26, 1 3 0
47.05, 31, 2 0 0
66.33, 33, 2 2 4
75.53, 19, 1 2 7
80.48, 13, 1 5 4